# 1
This entry pairs a crystal structure of TmSb6Rh12 with its simulated powder XRD pattern. Radiation: copper Kα. Structure: a cell relaxed with PBE.
Intensities are scaled so that the largest is 100.

Main lines, low angle first (10 to 90 degrees two-theta):
d_spacing  intensity
3.568  34
2.736  100
2.532  78
2.381  29
2.302  58
2.214  29
2.177  51
2.078  46
2.025  23
1.943  53
1.868  81
1.434  32

```
19
Lattice="6.025 3.479 2.791 -6.025 3.479 2.791 0.000 -6.957 2.791" Properties=species:S:1:pos:R:3 pbc="T T T"
Tm 0.000 0.000 0.000
Sb 0.000 -3.020 3.471
Sb -2.616 1.510 3.471
Sb -2.616 -1.510 4.902
Sb 2.616 1.510 3.471
Sb 2.616 -1.510 4.902
Sb 0.000 3.020 4.902
Rh -2.273 -3.937 4.187
Rh -4.546 0.000 4.187
Rh -1.394 -0.805 2.624
Rh 1.394 -0.805 2.624
Rh 0.000 1.610 2.624
Rh 2.273 -3.937 4.187
Rh -2.273 3.937 4.187
Rh 0.000 -1.610 5.749
Rh -1.394 0.805 5.749
Rh 1.394 0.805 5.749
Rh 4.546 0.000 4.187
Rh 2.273 3.937 4.187
```

=====

# 2
This entry pairs a crystal structure of TlAs2N with its simulated powder XRD pattern. Radiation: copper Kα. Structure: a cell relaxed with PBE.
Intensities are scaled so that the largest is 100.

Main lines, low angle first (10 to 90 degrees two-theta):
d_spacing  intensity
4.823  19
3.333  84
3.199  100
2.596  17
2.331  32
2.286  68
2.031  34
1.870  22
1.599  21
1.592  23
1.453  17
1.229  15

```
8
Lattice="-2.596 2.596 6.521 2.596 -2.596 6.521 2.596 2.596 -6.521" Properties=species:S:1:pos:R:3 pbc="T T T"
Tl 0.000 0.000 0.000
Tl 0.000 2.596 3.261
As 1.298 -0.432 4.891
As 2.163 1.298 1.630
As 1.298 3.028 -1.630
As 0.432 1.298 8.151
N 2.596 0.000 3.261
N 0.000 0.000 6.521
```

=====

# 3
This entry pairs a crystal structure of Cs2Ge2Br5 with its simulated powder XRD pattern. Radiation: copper Kα. Structure: a cell relaxed with PBE.
Intensities are scaled so that the largest is 100.

Main lines, low angle first (10 to 90 degrees two-theta):
d_spacing  intensity
3.671  54
3.133  55
3.115  62
2.978  100
2.331  17
2.306  13
2.150  14
2.115  16
2.096  17
1.835  30
1.750  26
1.742  16

```
9
Lattice="9.323 0.000 0.000 0.000 4.192 4.231 0.000 -4.192 4.231" Properties=species:S:1:pos:R:3 pbc="T T T"
Cs 0.000 0.000 0.000
Cs 4.661 0.000 0.017
Ge 1.828 0.000 4.046
Ge 7.495 0.000 4.046
Br 2.104 -1.901 2.328
Br 2.104 1.901 2.328
Br 4.661 0.000 4.476
Br 7.219 -1.901 2.328
Br 7.219 1.901 2.328
```

=====

# 4
This entry pairs a crystal structure of Li5Zn3 with its simulated powder XRD pattern. Radiation: copper Kα. Structure: a cell relaxed with PBE.
Intensities are scaled so that the largest is 100.

Main lines, low angle first (10 to 90 degrees two-theta):
d_spacing  intensity
3.665  40
3.572  39
3.382  100
3.353  51
3.334  37
3.261  81
3.211  79
2.346  35
2.233  54
2.226  82
2.204  42
1.705  28

```
16
Lattice="2.477 -7.330 0.000 2.477 7.330 0.000 -2.435 0.000 7.144" Properties=species:S:1:pos:R:3 pbc="T T T"
Li -0.044 0.000 1.400
Li 0.087 2.242 5.742
Li 1.243 -2.544 0.137
Li 0.204 -1.091 4.627
Li 2.434 2.242 1.402
Li 0.201 -4.002 4.624
Li 2.316 -1.091 2.517
Li 1.278 -2.544 7.007
Li 2.565 0.000 5.743
Li 2.320 -4.002 2.520
Zn 0.361 4.788 4.672
Zn 2.160 4.788 2.471
Zn 1.260 1.218 3.572
Zn 2.477 -0.007 0.000
Zn 2.477 -5.079 0.000
Zn 1.260 -6.314 3.572
```